The following is a calculated powder diffraction line list of Rb2CoTeF6. It was derived from the PBE+U geometry in Alexandria, using λ = 1.5418 Å (Cu Kα).
Kinematic intensities with the Lorentz-polarization factor, no thermal factor.

Cell and atoms:
abc: 6.367 6.367 6.367
angles: 117.37 117.37 94.62
Positions (direct):
Rb 0.250 0.750 0.500
Rb 0.750 0.250 0.500
Co 0.000 0.000 0.000
Te 0.500 0.500 0.000
F 0.212 0.212 0.424
F 0.212 0.788 0.000
F 0.256 0.256 0.000
F 0.744 0.744 0.000
F 0.788 0.212 0.000
F 0.788 0.788 0.576

Most intense lines, 2θ = 10–90°, in order of falling intensity:
d (Å)	I (rel.)
3.173	100
3.309	57
2.340	43
1.883	41
1.587	24
1.808	20